Diffraction record for SmY6Ho. The powder diffraction line list is calculated, not measured: it uses a structure optimized by DFT (GGA-PBE) and Cu Kα, 1.54184 Å.

Most intense lines, 2θ = 10–90°, by angle:
2theta  I_rel  h k l
17.37  51  1 0 -1
17.47  26  1 -1 1
22.58  100  0 1 -2
29.43  76  1 -2 0
29.55  73  2 -1 1
32.02  51  0 2 -2
36.67  44  1 1 1
36.80  73  -2 1 2
36.91  41  1 -2 3
47.03  41  3 0 -1

Structure:
abc: 6.673 6.680 8.123
angles: 114.04 90.20 119.75
Fractional coordinates of all 8 atoms:
Sm 0.000 0.000 0.000
Y 0.050 0.798 0.248
Y 0.252 0.803 0.752
Y 0.447 0.500 0.248
Y 0.553 0.500 0.752
Y 0.748 0.197 0.248
Y 0.950 0.202 0.752
Ho 0.500 0.000 0.500